For ThSiRh5, the PBE geometry in Alexandria gives the computed powder X-ray diffraction pattern in this record (λ = 1.5418 Å (Cu Kα)).
Lines closer than 0.1° are merged.

Main lines, by angle (2θ from 10° to 90°):
2θ/deg	I_rel
12.8	21
25.3	15
33.6	68
39.2	25
40.7	100
44.3	50
60.6	28
64.5	16
76.5	17
79.1	28

Crystal structure
```
ThSiRh5
1.0
4.087 0.000 0.000
0.000 4.087 0.000
0.000 0.000 6.896
Th Si Rh
1 1 5
Direct
0.000 0.000 0.000
0.500 0.500 0.500
0.000 0.500 0.303
0.000 0.500 0.697
0.500 0.000 0.303
0.500 0.000 0.697
0.500 0.500 0.000
```

---

For ThSi2Rh6, the PBE geometry in Alexandria gives the computed powder X-ray diffraction pattern in this record (λ = 1.5418 Å (Cu Kα)).
Lines closer than 0.1° are merged.

Main lines, by angle (2θ from 10° to 90°):
2θ/deg	I_rel
14.0	22
27.0	36
32.8	100
43.0	13
47.0	94
58.5	25
65.6	10
68.7	15
78.2	32
87.4	32

Crystal structure
```
ThSi2Rh6
1.0
0.000 5.468 5.468
5.468 0.000 5.468
5.468 5.468 0.000
Th Si Rh
2 4 12
Direct
0.125 0.125 0.125
0.875 0.875 0.875
0.000 0.500 0.500
0.500 0.000 0.500
0.500 0.500 0.000
0.500 0.500 0.500
0.126 0.126 0.624
0.126 0.624 0.126
0.126 0.624 0.624
0.376 0.376 0.874
0.376 0.874 0.376
0.376 0.874 0.874
0.624 0.126 0.126
0.624 0.126 0.624
0.624 0.624 0.126
0.874 0.376 0.376
0.874 0.376 0.874
0.874 0.874 0.376
```

---

For Th3Si4Rh7, the PBE geometry in Alexandria gives the computed powder X-ray diffraction pattern in this record (λ = 1.5418 Å (Cu Kα)).
Lines closer than 0.1° are merged.

Main lines, by angle (2θ from 10° to 90°):
2θ/deg	I_rel
23.3	19
23.8	26
30.6	28
35.7	100
36.0	58
36.4	68
37.9	25
42.8	32
44.7	39
63.6	20

Crystal structure
```
Th3Si4Rh7
1.0
7.795 -2.029 0.000
7.795 2.029 0.000
-5.535 0.000 7.712
Th Si Rh
3 4 7
Direct
0.000 0.000 0.000
0.330 0.330 0.336
0.670 0.670 0.664
0.115 0.115 0.841
0.336 0.336 0.719
0.664 0.664 0.281
0.885 0.885 0.159
0.000 0.000 0.500
0.166 0.166 0.423
0.302 0.302 0.950
0.498 0.498 0.731
0.502 0.502 0.269
0.698 0.698 0.050
0.834 0.834 0.577
```